1.
Structure and theoretical powder XRD pattern of TbNi3Sn2 (the GGA-PBE geometry in the Materials Project; a wavelength of 1.5418 Å).
Kinematic intensities with the Lorentz-polarization factor, no thermal factor.

Structure:
a b c (Å): 9.5175 9.5175 4.0766
angles (deg): 90.00 90.00 120.00
Space group P6/mmm (No. 191)
Symmetry-distinct sites (fractional):
Tb: 0.0000 0.0000 0.0000 (multiplicity 1)
Tb: 0.3333 0.6667 0.5000 (multiplicity 2)
Ni: 0.0000 0.5000 0.0000 (multiplicity 3)
Ni: 0.1833 0.3666 0.0000 (multiplicity 6)
Sn: 0.0000 0.3212 0.5000 (multiplicity 6)

Peak list (10 most intense, 10° ≤ 2θ ≤ 90°, in order of rising 2θ)
- 30.85°, I 24
- 32.59°, I 69
- 36.29°, I 38
- 37.81°, I 20
- 39.56°, I 100
- 44.07°, I 34
- 44.45°, I 33
- 56.19°, I 31
- 68.28°, I 22
- 85.18°, I 24

***

2.
Structure and theoretical powder XRD pattern of Tb2Ni2Sn (the GGA-PBE geometry in the Materials Project; a wavelength of 1.5418 Å).
Kinematic intensities with the Lorentz-polarization factor, no thermal factor.

Structure:
a b c (Å): 7.2658 7.2658 3.7244
angles (deg): 90.00 90.00 90.00
Space group P4/mbm (No. 127)
Symmetry-distinct sites (fractional):
Tb: 0.1757 0.3243 0.0000 (multiplicity 4)
Ni: 0.1200 0.6200 0.5000 (multiplicity 4)
Sn: 0.0000 0.0000 0.5000 (multiplicity 2)

Peak list (10 most intense, 10° ≤ 2θ ≤ 90°, in order of rising 2θ)
- 27.45°, I 20
- 34.49°, I 60
- 34.93°, I 16
- 36.70°, I 100
- 39.21°, I 44
- 48.91°, I 18
- 51.89°, I 15
- 57.89°, I 18
- 59.40°, I 18
- 64.40°, I 20

***

3.
Structure and theoretical powder XRD pattern of Tb2Ni2Sn (the GGA-PBE geometry in the Materials Project; a wavelength of 1.5418 Å).
Kinematic intensities with the Lorentz-polarization factor, no thermal factor.

Structure:
a b c (Å): 4.2446 5.7146 8.2748
angles (deg): 90.00 90.00 90.00
Space group Immm (No. 71)
Symmetry-distinct sites (fractional):
Tb: 0.0000 0.0000 0.2020 (multiplicity 4)
Ni: 0.0000 0.2914 0.5000 (multiplicity 4)
Sn: 0.0000 0.5000 0.0000 (multiplicity 2)

Peak list (10 most intense, 10° ≤ 2θ ≤ 90°, in order of rising 2θ)
- 26.15°, I 15
- 31.31°, I 19
- 34.09°, I 100
- 36.16°, I 28
- 38.28°, I 13
- 38.94°, I 13
- 39.55°, I 42
- 42.60°, I 25
- 57.08°, I 15
- 69.24°, I 22

***

4.
Structure and theoretical powder XRD pattern of ThNiSn (the GGA-PBE geometry in the Materials Project; a wavelength of 1.5418 Å).
Kinematic intensities with the Lorentz-polarization factor, no thermal factor.

Structure:
a b c (Å): 6.5831 6.5831 6.5831
angles (deg): 90.00 90.00 90.00
Space group F-43m (No. 216)
Symmetry-distinct sites (fractional):
Th: 0.0000 0.0000 0.0000 (multiplicity 4)
Ni: 0.2500 0.2500 0.7500 (multiplicity 4)
Sn: 0.0000 0.0000 0.5000 (multiplicity 4)

Peak list (10 most intense, 10° ≤ 2θ ≤ 90°, in order of rising 2θ)
- 23.41°, I 21
- 27.09°, I 58
- 38.69°, I 100
- 45.71°, I 11
- 47.87°, I 17
- 55.86°, I 17
- 63.16°, I 24
- 70.02°, I 36
- 82.97°, I 12
- 89.28°, I 13

***

5.
Structure and theoretical powder XRD pattern of ThNi2Sn2 (the GGA-PBE geometry in the Materials Project; a wavelength of 1.5418 Å).
Kinematic intensities with the Lorentz-polarization factor, no thermal factor.

Structure:
a b c (Å): 4.4494 4.4494 10.1014
angles (deg): 90.00 90.00 90.00
Space group P4/nmm (No. 129, origin choice 2)
Symmetry-distinct sites (fractional):
Th: 0.2500 0.2500 0.2340 (multiplicity 2)
Ni: 0.2500 0.2500 0.6276 (multiplicity 2)
Ni: 0.2500 0.7500 0.0000 (multiplicity 2)
Sn: 0.2500 0.2500 0.8745 (multiplicity 2)
Sn: 0.2500 0.7500 0.5000 (multiplicity 2)

Peak list (10 most intense, 10° ≤ 2θ ≤ 90°, in order of rising 2θ)
- 28.37°, I 23
- 33.37°, I 71
- 33.56°, I 100
- 40.55°, I 64
- 49.55°, I 22
- 53.49°, I 38
- 58.68°, I 26
- 62.58°, I 13
- 65.88°, I 19
- 69.33°, I 25

***

6.
Structure and theoretical powder XRD pattern of Th3Ni3Sn4 (the GGA-PBE geometry in the Materials Project; a wavelength of 1.5418 Å).
Kinematic intensities with the Lorentz-polarization factor, no thermal factor.

Structure:
a b c (Å): 9.6595 9.6595 9.6595
angles (deg): 90.00 90.00 90.00
Space group I-43d (No. 220)
Symmetry-distinct sites (fractional):
Th: 0.0000 0.2500 0.8750 (multiplicity 12)
Ni: 0.0000 0.2500 0.3750 (multiplicity 12)
Sn: 0.0789 0.4211 0.5789 (multiplicity 16)

Peak list (10 most intense, 10° ≤ 2θ ≤ 90°, in order of rising 2θ)
- 22.55°, I 17
- 29.24°, I 69
- 34.75°, I 100
- 41.82°, I 45
- 43.97°, I 17
- 46.03°, I 16
- 58.94°, I 28
- 60.63°, I 14
- 62.29°, I 12
- 71.82°, I 21

***

7.
Structure and theoretical powder XRD pattern of TiNiSn (the GGA-PBE geometry in the Materials Project; a wavelength of 1.5418 Å).
Kinematic intensities with the Lorentz-polarization factor, no thermal factor.

Structure:
a b c (Å): 6.1550 6.1550 6.1550
angles (deg): 90.00 90.00 90.00
Space group F-43m (No. 216)
Symmetry-distinct sites (fractional):
Ti: 0.0000 0.0000 0.0000 (multiplicity 4)
Ni: 0.2500 0.2500 0.2500 (multiplicity 4)
Sn: 0.2500 0.2500 0.7500 (multiplicity 4)

Peak list (10 most intense, 10° ≤ 2θ ≤ 90°, in order of rising 2θ)
- 25.06°, I 25
- 29.01°, I 46
- 41.50°, I 100
- 49.09°, I 13
- 51.43°, I 13
- 60.13°, I 16
- 66.18°, I 5
- 68.13°, I 17
- 75.70°, I 33
- 81.21°, I 4

***

8.
Structure and theoretical powder XRD pattern of TiNiSn (the GGA-PBE geometry in the Materials Project; a wavelength of 1.5418 Å).
Kinematic intensities with the Lorentz-polarization factor, no thermal factor.

Structure:
a b c (Å): 6.1448 6.1448 6.1448
angles (deg): 90.00 90.00 90.00
Space group F-43m (No. 216)
Symmetry-distinct sites (fractional):
Ti: 0.0000 0.0000 0.0000 (multiplicity 4)
Ni: 0.0000 0.0000 0.5000 (multiplicity 4)
Sn: 0.2500 0.2500 0.2500 (multiplicity 4)

Peak list (7 most intense, 10° ≤ 2θ ≤ 90°, in order of rising 2θ)
- 25.10°, I 69
- 41.57°, I 100
- 49.18°, I 35
- 60.24°, I 16
- 66.30°, I 15
- 75.85°, I 33
- 81.37°, I 12